Structure and computed XRD peak list of Dy8HgTe4As3 (a structure optimized by DFT (GGA-PBE); Cu Ka).

Cell and atoms:
Unit cell a=8.579 b=8.579 c=8.579 alpha=59.29 beta=59.29 gamma=59.29
Positions (direct):
Dy 0.237 0.745 0.745
Dy 0.239 0.239 0.239
Dy 0.255 0.255 0.763
Dy 0.255 0.763 0.255
Dy 0.745 0.237 0.745
Dy 0.745 0.745 0.237
Dy 0.761 0.761 0.761
Dy 0.763 0.255 0.255
Hg 0.500 0.500 0.500
Te 0.000 0.000 0.000
Te 0.000 0.500 0.500
Te 0.500 0.000 0.500
Te 0.500 0.500 0.000
As 0.000 0.000 0.500
As 0.000 0.500 0.000
As 0.500 0.000 0.000

The 10 most intense peaks (10 to 80 degrees two-theta), low angle first:
- 29.6 deg, I 100.0
- 42.1 deg, I 35.3
- 42.6 deg, I 38.3
- 51.9 deg, I 5.5
- 52.7 deg, I 19.9
- 61.5 deg, I 11.5
- 69.4 deg, I 13.9
- 70.0 deg, I 16.9
- 77.7 deg, I 11.7
- 78.0 deg, I 6.5


Structure and computed XRD peak list of CuTcIr2 (a structure optimized by DFT (GGA-PBE); Cu Ka).

Cell and atoms:
Unit cell a=2.740 b=3.782 c=5.385 alpha=90.00 beta=90.00 gamma=90.00
Positions (direct):
Cu 0.000 0.000 0.000
Tc 0.000 0.000 0.500
Ir 0.500 0.500 0.248
Ir 0.500 0.500 0.752

The 10 most intense peaks (10 to 80 degrees two-theta), low angle first:
- 23.5 deg, I 28.8
- 32.7 deg, I 12.9
- 33.3 deg, I 12.3
- 40.7 deg, I 100.0
- 41.2 deg, I 96.6
- 47.3 deg, I 64.6
- 48.1 deg, I 30.8
- 53.5 deg, I 13.8
- 68.5 deg, I 10.6
- 69.8 deg, I 50.1


Structure and computed XRD peak list of MgBr (a structure optimized by DFT (GGA-PBE); Cu Ka).

Cell and atoms:
Unit cell a=5.826 b=3.644 c=6.218 alpha=90.00 beta=116.01 gamma=90.00
Positions (direct):
Mg 0.181 0.250 0.438
Mg 0.819 0.750 0.562
Br 0.334 0.750 0.201
Br 0.666 0.250 0.799

The 10 most intense peaks (10 to 80 degrees two-theta), low angle first:
- 17.4 deg, I 75.4
- 28.0 deg, I 79.3
- 28.9 deg, I 32.5
- 29.3 deg, I 67.4
- 29.9 deg, I 30.6
- 30.2 deg, I 100.0
- 42.5 deg, I 41.9
- 43.3 deg, I 30.1
- 49.9 deg, I 25.9
- 53.9 deg, I 26.6


Structure and computed XRD peak list of Bi4Pd5Au (a structure optimized by DFT (GGA-PBE); Cu Ka).

Cell and atoms:
Unit cell a=6.740 b=6.740 c=6.740 alpha=100.61 beta=100.61 gamma=129.17
Positions (direct):
Bi 0.070 0.305 0.375
Bi 0.305 0.930 0.235
Bi 0.695 0.070 0.765
Bi 0.930 0.695 0.625
Pd 0.226 0.226 0.000
Pd 0.236 0.586 0.841
Pd 0.395 0.236 0.649
Pd 0.586 0.746 0.351
Pd 0.746 0.395 0.159
Au 0.741 0.741 0.000

The 10 most intense peaks (10 to 80 degrees two-theta), low angle first:
- 27.8 deg, I 25.7
- 30.9 deg, I 26.6
- 32.9 deg, I 100.0
- 34.3 deg, I 28.3
- 34.9 deg, I 21.3
- 43.1 deg, I 35.4
- 45.8 deg, I 50.9
- 47.2 deg, I 28.9
- 57.5 deg, I 20.1
- 74.3 deg, I 19.1


Structure and computed XRD peak list of La4TcHgBr2 (a structure optimized by DFT (GGA-PBE); Cu Ka).

Cell and atoms:
Unit cell a=7.746 b=4.234 c=8.324 alpha=90.00 beta=107.87 gamma=90.00
Positions (direct):
La 0.213 0.000 0.293
La 0.223 0.500 0.704
La 0.777 0.500 0.296
La 0.787 0.000 0.707
Tc 0.000 0.000 0.500
Hg 0.500 0.500 0.500
Br 0.000 0.500 0.000
Br 0.500 0.000 0.000

The 10 most intense peaks (10 to 80 degrees two-theta), low angle first:
- 11.2 deg, I 34.8
- 27.5 deg, I 42.8
- 28.3 deg, I 100.0
- 35.8 deg, I 9.2
- 38.1 deg, I 19.1
- 38.8 deg, I 29.3
- 40.9 deg, I 30.1
- 42.7 deg, I 17.3
- 51.6 deg, I 15.0
- 58.6 deg, I 10.9


Structure and computed XRD peak list of Rb14NaHg (a structure optimized by DFT (GGA-PBE); Cu Ka).

Cell and atoms:
Unit cell a=14.089 b=9.736 c=9.736 alpha=75.96 beta=90.00 gamma=90.00
Positions (direct):
Rb 0.000 0.000 0.000
Rb 0.000 0.471 0.471
Rb 0.000 0.521 0.948
Rb 0.000 0.948 0.521
Rb 0.233 0.245 0.245
Rb 0.287 0.664 0.664
Rb 0.310 0.143 0.751
Rb 0.310 0.751 0.143
Rb 0.500 0.418 0.987
Rb 0.500 0.987 0.418
Rb 0.690 0.143 0.751
Rb 0.690 0.751 0.143
Rb 0.713 0.664 0.664
Rb 0.767 0.245 0.245
Na 0.500 0.450 0.450
Hg 0.500 0.829 0.829

The 10 most intense peaks (10 to 80 degrees two-theta), low angle first:
- 11.3 deg, I 15.4
- 19.8 deg, I 21.0
- 22.7 deg, I 100.0
- 23.2 deg, I 12.0
- 23.9 deg, I 12.8
- 25.3 deg, I 16.6
- 26.8 deg, I 22.0
- 29.8 deg, I 11.1
- 30.1 deg, I 10.9
- 39.5 deg, I 16.7